# 1
Calculated powder X-ray diffraction pattern of Ag3PbF12 for Cu Kα (λ = 1.5418 Å), from the PBE geometry in Alexandria.
Intensities are scaled so that the largest is 100.

Largest 6 diffraction maxima, by angle, 2θ from 5° to 70°:
14.3 deg, intensity 89.8; 22.9 deg, intensity 100.0; 26.9 deg, intensity 36.1; 27.9 deg, intensity 61.7; 36.9 deg, intensity 44.7; 55.4 deg, intensity 32.0

Atomic structure:
```
data_Ag3PbF12
_cell_length_a 11.0935
_cell_length_b 11.0935
_cell_length_c 16.2825
_cell_angle_alpha 90.00
_cell_angle_beta 90.00
_cell_angle_gamma 120.00
_symmetry_space_group_name_H-M 'R -3 c'
_symmetry_Int_Tables_number 167
_symmetry_space_group_name_Hall '-R 3 2"c'
loop_
_atom_site_label
_atom_site_type_symbol
_atom_site_fract_x
_atom_site_fract_y
_atom_site_fract_z
_atom_site_occupancy
Ag1 Ag 0.0000 0.3478 0.2500 1
Pb1 Pb 0.0000 0.0000 0.0000 1
F1 F 0.0339 0.5124 0.9062 1
F2 F 0.0719 0.1848 0.5764 1
```

***

# 2
Calculated powder X-ray diffraction pattern of AgPbF2 for Cu Kα (λ = 1.5418 Å), from the PBE geometry in Alexandria.
Intensities are scaled so that the largest is 100.

Largest 6 diffraction maxima, by angle, 2θ from 5° to 70°:
10.9 deg, intensity 28.0; 21.9 deg, intensity 55.3; 31.6 deg, intensity 100.0; 34.2 deg, intensity 62.5; 43.1 deg, intensity 35.8; 48.8 deg, intensity 31.1

Atomic structure:
```
data_AgPbF2
_cell_length_a 3.3572
_cell_length_b 3.3572
_cell_length_c 24.2966
_cell_angle_alpha 90.00
_cell_angle_beta 90.00
_cell_angle_gamma 120.00
_symmetry_space_group_name_H-M 'R -3 m'
_symmetry_Int_Tables_number 166
_symmetry_space_group_name_Hall '-R 3 2"'
loop_
_atom_site_label
_atom_site_type_symbol
_atom_site_fract_x
_atom_site_fract_y
_atom_site_fract_z
_atom_site_occupancy
Ag1 Ag 0.0000 0.0000 0.0000 1
Pb1 Pb 0.0000 0.0000 0.5000 1
F1 F 0.0000 0.0000 0.0876 1
```

***

# 3
Calculated powder X-ray diffraction pattern of RbAgPb2F6 for Cu Kα (λ = 1.5418 Å), from the PBE geometry in Alexandria.
Intensities are scaled so that the largest is 100.

Largest 6 diffraction maxima, by angle, 2θ from 5° to 70°:
13.4 deg, intensity 25.3; 26.3 deg, intensity 100.0; 32.1 deg, intensity 28.9; 42.4 deg, intensity 34.7; 47.4 deg, intensity 20.9; 53.8 deg, intensity 28.7

Atomic structure:
```
data_RbAgPb2F6
_cell_length_a 5.582
_cell_length_b 5.582
_cell_length_c 6.589
_cell_angle_alpha 90.00
_cell_angle_beta 90.00
_cell_angle_gamma 90.00
_symmetry_space_group_name_H-M 'P 4 m m'
_symmetry_Int_Tables_number 99
_symmetry_space_group_name_Hall 'P 4 -2'
loop_
_atom_site_label
_atom_site_type_symbol
_atom_site_fract_x
_atom_site_fract_y
_atom_site_fract_z
_atom_site_occupancy
Rb1 Rb 0.000 0.000 0.000 1
Ag1 Ag 0.500 0.500 0.028 1
Pb1 Pb 0.000 0.500 0.474 1
F1 F 0.000 0.000 0.601 1
F2 F 0.259 0.259 0.270 1
F3 F 0.500 0.500 0.693 1
```

***

# 4
Calculated powder X-ray diffraction pattern of TlAg2PbF8 for Cu Kα (λ = 1.5418 Å), from the PBE geometry in Alexandria.
Intensities are scaled so that the largest is 100.

Largest 6 diffraction maxima, by angle, 2θ from 5° to 70°:
26.6 deg, intensity 100.0; 28.6 deg, intensity 26.5; 31.2 deg, intensity 24.9; 43.7 deg, intensity 25.9; 46.4 deg, intensity 23.1; 52.8 deg, intensity 19.3

Atomic structure:
```
data_TlAg2PbF8
_cell_length_a 4.169
_cell_length_b 5.671
_cell_length_c 7.901
_cell_angle_alpha 85.43
_cell_angle_beta 89.98
_cell_angle_gamma 89.97
_symmetry_space_group_name_H-M 'P -1'
_symmetry_Int_Tables_number 2
_symmetry_space_group_name_Hall '-P 1'
loop_
_atom_site_label
_atom_site_type_symbol
_atom_site_fract_x
_atom_site_fract_y
_atom_site_fract_z
_atom_site_occupancy
Tl1 Tl 0.000 0.000 0.000 1
Ag1 Ag 0.499 0.505 0.245 1
Pb1 Pb 0.000 0.000 0.500 1
F1 F 0.004 0.240 0.208 1
F2 F 0.004 0.240 0.757 1
F3 F 0.496 0.768 0.019 1
F4 F 0.499 0.740 0.525 1
```